Diffraction record for InNiRh2. The PXRD pattern is computed, not measured: it uses DFT lattice parameters and positions (GGA-PBE) and Cu Ka.
Intensities are scaled so that the largest is 100.

Peak list (10 most intense, 2θ = 15–90°, low angle first)
2θ (°)	d (Å)	I/Imax	index
39.68	2.271	100.0	1 1 0
40.20	2.243	93.0	0 1 2
45.16	2.008	33.1	1 0 -2
45.27	2.003	32.8	1 0 2
48.85	1.864	27.0	0 2 0
65.14	1.432	11.0	2 0 0
68.75	1.365	36.1	1 2 2
79.30	1.208	12.0	2 1 -2
79.46	1.206	11.9	2 1 2
85.47	1.136	20.8	2 2 0

Crystal structure
```
4
Lattice="2.8641 0.0000 0.0000 0.0000 3.7284 0.0000 -0.0132 0.0000 5.6175" Properties=species:S:1:pos:R:3 pbc="T T T"
In 0.0000 0.0000 0.0000
Ni 1.4243 1.8642 4.1064
Rh -0.0046 0.0000 2.9052
Rh 1.4302 1.8642 1.5340
```